# 1
Simulated X-ray diffraction stick pattern of Zr7N4O8 for a wavelength of 1.5418 Å, from a structure optimized by DFT (GGA-PBE).

Atomic structure:
```
data_Zr7N4O8
_cell_length_a 6.2314
_cell_length_b 6.2889
_cell_length_c 6.4869
_cell_angle_alpha 100.48
_cell_angle_beta 99.87
_cell_angle_gamma 99.13
_symmetry_space_group_name_H-M 'P -1'
_symmetry_Int_Tables_number 2
loop_
_symmetry_equiv_pos_as_xyz
'x,y,z'
'-x,-y,-z'
loop_
_atom_site_label
_atom_site_fract_x
_atom_site_fract_y
_atom_site_fract_z
_atom_site_occupancy
Zr1 0.0000 0.0000 0.0000 1
Zr2 0.1592 0.6150 0.3218 1
Zr3 0.2789 0.1268 0.6193 1
Zr4 0.3955 0.6755 0.8656 1
N1 0.0689 0.9247 0.3173 1
N2 0.4344 0.5939 0.1817 1
O1 0.0560 0.6719 0.8918 1
O2 0.1842 0.4288 0.5695 1
O3 0.3232 0.0824 0.9524 1
O4 0.4223 0.8310 0.5929 1
```

Peak list (6 most intense, 10° ≤ 2θ ≤ 90°, in order of rising 2θ)
d [Å]	2θ/deg	I_rel
3.055	29.23	54
2.964	30.15	100
2.950	30.30	53
2.604	34.44	18
2.562	35.03	24
1.801	50.67	18

# 2
Simulated X-ray diffraction stick pattern of MgSbF6 for a wavelength of 1.5418 Å, from a structure optimized by DFT (GGA-PBE).

Atomic structure:
```
data_MgSbF6
_cell_length_a 5.4857
_cell_length_b 5.4857
_cell_length_c 14.0347
_cell_angle_alpha 90.00
_cell_angle_beta 90.00
_cell_angle_gamma 120.00
_symmetry_space_group_name_H-M 'R -3'
_symmetry_Int_Tables_number 148
_symmetry_space_group_name_Hall '-R 3'
loop_
_atom_site_label
_atom_site_fract_x
_atom_site_fract_y
_atom_site_fract_z
_atom_site_occupancy
Mg1 0.0000 0.0000 0.0000 1
Sb1 0.0000 0.0000 0.5000 1
F1 0.0022 0.5923 0.7487 1
```

Peak list (6 most intense, 10° ≤ 2θ ≤ 90°, in order of rising 2θ)
d [Å]	2θ/deg	I_rel
4.500	19.73	39
3.934	22.60	100
2.822	31.70	19
2.366	38.03	26
1.967	46.15	22
1.780	51.33	33

# 3
Simulated X-ray diffraction stick pattern of LiTbHg2 for a wavelength of 1.5418 Å, from a structure optimized by DFT (GGA-PBE).

Atomic structure:
```
data_LiTbHg2
_cell_length_a 7.1336
_cell_length_b 7.1336
_cell_length_c 7.1336
_cell_angle_alpha 90.00
_cell_angle_beta 90.00
_cell_angle_gamma 90.00
_symmetry_space_group_name_H-M 'F m -3 m'
_symmetry_Int_Tables_number 225
_symmetry_space_group_name_Hall '-F 4 2 3'
loop_
_atom_site_label
_atom_site_fract_x
_atom_site_fract_y
_atom_site_fract_z
_atom_site_occupancy
Li1 0.0000 0.0000 0.0000 1
Tb1 0.0000 0.0000 0.5000 1
Hg1 0.2500 0.2500 0.2500 1
```

Peak list (6 most intense, 10° ≤ 2θ ≤ 90°, in order of rising 2θ)
d [Å]	2θ/deg	I_rel
4.119	21.58	17
3.567	24.96	22
2.522	35.60	100
1.783	51.22	18
1.456	63.93	37
1.128	86.23	17

# 4
Simulated X-ray diffraction stick pattern of Mg3Si2 for a wavelength of 1.5418 Å, from a structure optimized by DFT (GGA-PBE).

Atomic structure:
```
data_Mg3Si2
_cell_length_a 15.4727
_cell_length_b 3.6751
_cell_length_c 7.0366
_cell_angle_alpha 90.00
_cell_angle_beta 95.76
_cell_angle_gamma 90.00
_symmetry_space_group_name_H-M 'C 1 2/m 1'
_symmetry_Int_Tables_number 12
loop_
_symmetry_equiv_pos_as_xyz
'x,y,z'
'-x,-y,-z'
'-x,y,-z'
'x,-y,z'
'x+1/2,y+1/2,z'
'-x+1/2,-y+1/2,-z'
'-x+1/2,y+1/2,-z'
'x+1/2,-y+1/2,z'
loop_
_atom_site_label
_atom_site_fract_x
_atom_site_fract_y
_atom_site_fract_z
_atom_site_occupancy
Mg1 0.0001 0.0000 0.2308 1
Mg2 0.1243 0.5000 0.5272 1
Mg3 0.1927 0.0000 0.8645 1
Si1 0.1188 0.5000 0.1113 1
Si2 0.1994 0.0000 0.2846 1
```

Peak list (6 most intense, 10° ≤ 2θ ≤ 90°, in order of rising 2θ)
d [Å]	2θ/deg	I_rel
2.531	35.47	100
2.469	36.38	37
2.360	38.13	90
2.176	41.50	26
1.838	49.61	25
1.474	63.07	19

# 5
Simulated X-ray diffraction stick pattern of CdCu2 for a wavelength of 1.5418 Å, from a structure optimized by DFT (GGA-PBE).

Atomic structure:
```
data_CdCu2
_cell_length_a 5.0457
_cell_length_b 5.0457
_cell_length_c 16.1761
_cell_angle_alpha 90.00
_cell_angle_beta 90.00
_cell_angle_gamma 120.00
_symmetry_space_group_name_H-M 'P 63/m m c'
_symmetry_Int_Tables_number 194
_symmetry_space_group_name_Hall '-P 6c 2c'
loop_
_atom_site_label
_atom_site_fract_x
_atom_site_fract_y
_atom_site_fract_z
_atom_site_occupancy
Cd1 0.0000 0.0000 0.0943 1
Cd2 0.3333 0.6667 0.1560 1
Cu1 0.0000 0.5000 0.0000 1
Cu2 0.1644 0.3288 0.7500 1
Cu3 0.3333 0.6667 0.6254 1
```

Peak list (6 most intense, 10° ≤ 2θ ≤ 90°, in order of rising 2θ)
d [Å]	2θ/deg	I_rel
2.523	35.59	47
2.294	39.27	61
2.140	42.22	100
2.109	42.88	51
2.023	44.79	24
1.408	66.38	23

# 6
Simulated X-ray diffraction stick pattern of UCr3 for a wavelength of 1.5418 Å, from a structure optimized by DFT (GGA-PBE).

Atomic structure:
```
data_UCr3
_cell_length_a 6.1015
_cell_length_b 6.1015
_cell_length_c 6.1015
_cell_angle_alpha 90.00
_cell_angle_beta 90.00
_cell_angle_gamma 90.00
_symmetry_space_group_name_H-M 'F m -3 m'
_symmetry_Int_Tables_number 225
_symmetry_space_group_name_Hall '-F 4 2 3'
loop_
_atom_site_label
_atom_site_fract_x
_atom_site_fract_y
_atom_site_fract_z
_atom_site_occupancy
U1 0.0000 0.0000 0.0000 1
Cr1 0.0000 0.0000 0.5000 1
Cr2 0.2500 0.2500 0.2500 1
```

Peak list (6 most intense, 10° ≤ 2θ ≤ 90°, in order of rising 2θ)
d [Å]	2θ/deg	I_rel
3.523	25.28	49
3.051	29.27	26
2.157	41.88	100
1.840	49.55	26
1.525	60.72	16
1.245	76.48	33